[1]
Starting from a cell relaxed with GGA-PBE, the X-ray powder pattern of Th4Al12Re was simulated for Cu Kα.

Crystal structure
```
data_Th4Al12Re
_chemical_formula_sum 'Th4 Al12 Re1'
_symmetry_space_group_name_H-M 'P 1'
_symmetry_Int_Tables_number 1
_symmetry_space_group_name_Hall 'P 1'
_cell_length_a 7.690
_cell_length_b 7.690
_cell_length_c 7.690
_cell_angle_alpha 109.47
_cell_angle_beta 109.47
_cell_angle_gamma 109.47
loop_
_atom_site_label
_atom_site_type_symbol
_atom_site_fract_x
_atom_site_fract_y
_atom_site_fract_z
_atom_site_occupancy
Th1 Th 0.000 0.000 0.500 1
Th2 Th 0.000 0.500 0.000 1
Th3 Th 0.500 0.000 0.000 1
Th4 Th 0.500 0.500 0.500 1
Al1 Al 0.000 0.290 0.290 1
Al2 Al 0.000 0.710 0.710 1
Al3 Al 0.250 0.500 0.750 1
Al4 Al 0.250 0.750 0.500 1
Al5 Al 0.290 0.000 0.290 1
Al6 Al 0.290 0.290 0.000 1
Al7 Al 0.500 0.250 0.750 1
Al8 Al 0.500 0.750 0.250 1
Al9 Al 0.710 0.000 0.710 1
Al10 Al 0.710 0.710 0.000 1
Al11 Al 0.750 0.250 0.500 1
Al12 Al 0.750 0.500 0.250 1
Re1 Re 0.000 0.000 0.000 1
```

Peak list (8 most intense, 2θ = 15–90°, in order of rising 2θ)
Position (°2θ)	I/Imax
20.00	41
28.43	100
35.00	42
40.64	38
45.69	23
50.34	41
58.83	25
81.04	23

[2]
Starting from a cell relaxed with GGA-PBE, the X-ray powder pattern of Ti5AlRe6 was simulated for Cu Kα.

Crystal structure
```
data_Ti5AlRe6
_chemical_formula_sum 'Ti5 Al1 Re6'
_symmetry_space_group_name_H-M 'P 1'
_symmetry_Int_Tables_number 1
_symmetry_space_group_name_Hall 'P 1'
_cell_length_a 7.600
_cell_length_b 7.600
_cell_length_c 7.600
_cell_angle_alpha 146.50
_cell_angle_beta 131.32
_cell_angle_gamma 60.39
loop_
_atom_site_label
_atom_site_type_symbol
_atom_site_fract_x
_atom_site_fract_y
_atom_site_fract_z
_atom_site_occupancy
Ti1 Ti 0.000 0.000 0.000 1
Ti2 Ti 0.169 0.669 0.500 1
Ti3 Ti 0.339 0.339 0.000 1
Ti4 Ti 0.661 0.661 0.000 1
Ti5 Ti 0.831 0.331 0.500 1
Al1 Al 0.500 0.000 0.500 1
Re1 Re 0.082 0.833 0.248 1
Re2 Re 0.243 0.500 0.743 1
Re3 Re 0.415 0.167 0.248 1
Re4 Re 0.585 0.833 0.752 1
Re5 Re 0.757 0.500 0.257 1
Re6 Re 0.918 0.167 0.752 1
```

Peak list (8 most intense, 2θ = 15–90°, in order of rising 2θ)
Position (°2θ)	I/Imax
28.49	24
28.83	48
40.98	100
41.22	49
50.87	21
59.71	16
74.48	17
74.97	33

[3]
Starting from a cell relaxed with GGA-PBE, the X-ray powder pattern of TiAl4Re was simulated for Cu Kα.

Crystal structure
```
data_TiAl4Re
_chemical_formula_sum 'Ti2 Al8 Re2'
_symmetry_space_group_name_H-M 'P 1'
_symmetry_Int_Tables_number 1
_symmetry_space_group_name_Hall 'P 1'
_cell_length_a 7.093
_cell_length_b 7.093
_cell_length_c 7.093
_cell_angle_alpha 116.90
_cell_angle_beta 116.90
_cell_angle_gamma 95.46
loop_
_atom_site_label
_atom_site_type_symbol
_atom_site_fract_x
_atom_site_fract_y
_atom_site_fract_z
_atom_site_occupancy
Ti1 Ti 0.375 0.625 0.750 1
Ti2 Ti 0.625 0.375 0.250 1
Al1 Al 0.118 0.199 0.581 1
Al2 Al 0.118 0.536 0.919 1
Al3 Al 0.199 0.118 0.081 1
Al4 Al 0.464 0.882 0.581 1
Al5 Al 0.536 0.118 0.419 1
Al6 Al 0.801 0.882 0.919 1
Al7 Al 0.882 0.464 0.081 1
Al8 Al 0.882 0.801 0.419 1
Re1 Re 0.125 0.875 0.250 1
Re2 Re 0.875 0.125 0.750 1
```

Peak list (8 most intense, 2θ = 15–90°, in order of rising 2θ)
Position (°2θ)	I/Imax
15.12	100
23.98	84
25.23	69
37.56	23
37.71	22
42.94	71
45.19	30
55.99	28

[4]
Starting from a cell relaxed with GGA-PBE, the X-ray powder pattern of Ti4Al2Re3 was simulated for Cu Kα.

Crystal structure
```
data_Ti4Al2Re3
_chemical_formula_sum 'Ti4 Al2 Re3'
_symmetry_space_group_name_H-M 'P 1'
_symmetry_Int_Tables_number 1
_symmetry_space_group_name_Hall 'P 1'
_cell_length_a 4.446
_cell_length_b 4.446
_cell_length_c 8.088
_cell_angle_alpha 90.00
_cell_angle_beta 90.00
_cell_angle_gamma 120.00
loop_
_atom_site_label
_atom_site_type_symbol
_atom_site_fract_x
_atom_site_fract_y
_atom_site_fract_z
_atom_site_occupancy
Ti1 Ti 0.000 0.000 0.170 1
Ti2 Ti 0.000 0.000 0.830 1
Ti3 Ti 0.333 0.667 0.388 1
Ti4 Ti 0.667 0.333 0.612 1
Al1 Al 0.333 0.667 0.730 1
Al2 Al 0.667 0.333 0.270 1
Re1 Re 0.000 0.000 0.500 1
Re2 Re 0.333 0.667 0.063 1
Re3 Re 0.667 0.333 0.937 1
```

Peak list (8 most intense, 2θ = 15–90°, in order of rising 2θ)
Position (°2θ)	I/Imax
21.98	32
25.62	93
40.58	100
40.86	97
46.62	28
48.61	17
58.95	33
74.02	33

[5]
Starting from a cell relaxed with GGA-PBE, the X-ray powder pattern of TmAlRe was simulated for Cu Kα.

Crystal structure
```
data_TmAlRe
_chemical_formula_sum 'Tm2 Al2 Re2'
_symmetry_space_group_name_H-M 'P 1'
_symmetry_Int_Tables_number 1
_symmetry_space_group_name_Hall 'P 1'
_cell_length_a 5.388
_cell_length_b 5.388
_cell_length_c 5.388
_cell_angle_alpha 120.53
_cell_angle_beta 118.91
_cell_angle_gamma 90.49
loop_
_atom_site_label
_atom_site_type_symbol
_atom_site_fract_x
_atom_site_fract_y
_atom_site_fract_z
_atom_site_occupancy
Tm1 Tm 0.367 0.117 0.250 1
Tm2 Tm 0.633 0.883 0.750 1
Al1 Al 0.000 0.500 0.500 1
Al2 Al 0.500 0.500 0.000 1
Re1 Re 0.000 0.000 0.500 1
Re2 Re 0.000 0.500 0.000 1
```

Peak list (8 most intense, 2θ = 15–90°, in order of rising 2θ)
Position (°2θ)	I/Imax
20.32	26
32.70	45
33.26	46
38.81	25
39.24	53
39.35	100
62.82	37
69.84	27

[6]
Starting from a cell relaxed with GGA-PBE, the X-ray powder pattern of TmAl6Re was simulated for Cu Kα.

Crystal structure
```
data_TmAl6Re
_chemical_formula_sum 'Tm1 Al6 Re1'
_symmetry_space_group_name_H-M 'P 1'
_symmetry_Int_Tables_number 1
_symmetry_space_group_name_Hall 'P 1'
_cell_length_a 6.985
_cell_length_b 6.985
_cell_length_c 6.985
_cell_angle_alpha 48.94
_cell_angle_beta 48.94
_cell_angle_gamma 48.94
loop_
_atom_site_label
_atom_site_type_symbol
_atom_site_fract_x
_atom_site_fract_y
_atom_site_fract_z
_atom_site_occupancy
Tm1 Tm 0.000 0.000 0.000 1
Al1 Al 0.058 0.581 0.581 1
Al2 Al 0.419 0.419 0.942 1
Al3 Al 0.419 0.942 0.419 1
Al4 Al 0.581 0.058 0.581 1
Al5 Al 0.581 0.581 0.058 1
Al6 Al 0.942 0.419 0.419 1
Re1 Re 0.500 0.500 0.500 1
```

Peak list (8 most intense, 2θ = 15–90°, in order of rising 2θ)
Position (°2θ)	I/Imax
20.18	100
26.30	79
30.91	33
37.19	45
42.98	49
43.28	24
49.11	23
52.23	21

[7]
Starting from a cell relaxed with GGA-PBE, the X-ray powder pattern of TmZrAlRe was simulated for Cu Kα.

Crystal structure
```
data_TmZrAlRe
_chemical_formula_sum 'Tm1 Zr1 Al1 Re1'
_symmetry_space_group_name_H-M 'P 1'
_symmetry_Int_Tables_number 1
_symmetry_space_group_name_Hall 'P 1'
_cell_length_a 4.809
_cell_length_b 4.809
_cell_length_c 4.809
_cell_angle_alpha 60.00
_cell_angle_beta 60.00
_cell_angle_gamma 60.00
loop_
_atom_site_label
_atom_site_type_symbol
_atom_site_fract_x
_atom_site_fract_y
_atom_site_fract_z
_atom_site_occupancy
Tm1 Tm 0.000 0.000 0.000 1
Zr1 Zr 0.500 0.500 0.500 1
Al1 Al 0.750 0.750 0.750 1
Re1 Re 0.250 0.250 0.250 1
```

Peak list (8 most intense, 2θ = 15–90°, in order of rising 2θ)
Position (°2θ)	I/Imax
22.65	32
37.40	100
44.17	17
53.93	17
59.23	7
67.47	35
79.78	11
84.24	6

[8]
Starting from a cell relaxed with GGA-PBE, the X-ray powder pattern of YAl10Re2 was simulated for Cu Kα.

Crystal structure
```
data_YAl10Re2
_chemical_formula_sum 'Y2 Al20 Re4'
_symmetry_space_group_name_H-M 'P 1'
_symmetry_Int_Tables_number 1
_symmetry_space_group_name_Hall 'P 1'
_cell_length_a 6.920
_cell_length_b 6.920
_cell_length_c 9.199
_cell_angle_alpha 90.00
_cell_angle_beta 90.00
_cell_angle_gamma 96.83
loop_
_atom_site_label
_atom_site_type_symbol
_atom_site_fract_x
_atom_site_fract_y
_atom_site_fract_z
_atom_site_occupancy
Y1 Y 0.130 0.870 0.750 1
Y2 Y 0.870 0.130 0.250 1
Al1 Al 0.141 0.408 0.750 1
Al2 Al 0.150 0.850 0.096 1
Al3 Al 0.150 0.850 0.404 1
Al4 Al 0.211 0.471 0.250 1
Al5 Al 0.226 0.226 0.000 1
Al6 Al 0.226 0.226 0.500 1
Al7 Al 0.376 0.624 0.536 1
Al8 Al 0.376 0.624 0.964 1
Al9 Al 0.408 0.141 0.250 1
Al10 Al 0.471 0.211 0.750 1
Al11 Al 0.529 0.789 0.250 1
Al12 Al 0.592 0.859 0.750 1
Al13 Al 0.624 0.376 0.036 1
Al14 Al 0.624 0.376 0.464 1
Al15 Al 0.774 0.774 0.000 1
Al16 Al 0.774 0.774 0.500 1
Al17 Al 0.789 0.529 0.750 1
Al18 Al 0.850 0.150 0.596 1
Al19 Al 0.850 0.150 0.904 1
Al20 Al 0.859 0.592 0.250 1
Re1 Re 0.000 0.500 0.000 1
Re2 Re 0.000 0.500 0.500 1
Re3 Re 0.500 0.000 0.000 1
Re4 Re 0.500 0.000 0.500 1
```

Peak list (8 most intense, 2θ = 15–90°, in order of rising 2θ)
Position (°2θ)	I/Imax
17.13	82
19.31	90
25.92	95
27.44	62
32.53	56
39.20	68
39.98	100
44.76	53

[9]
Starting from a cell relaxed with GGA-PBE, the X-ray powder pattern of Al5Rh7 was simulated for Cu Kα.

Crystal structure
```
data_Al5Rh7
_chemical_formula_sum 'Al5 Rh7'
_symmetry_space_group_name_H-M 'P 1'
_symmetry_Int_Tables_number 1
_symmetry_space_group_name_Hall 'P 1'
_cell_length_a 2.985
_cell_length_b 2.985
_cell_length_c 18.827
_cell_angle_alpha 90.00
_cell_angle_beta 90.00
_cell_angle_gamma 90.00
loop_
_atom_site_label
_atom_site_type_symbol
_atom_site_fract_x
_atom_site_fract_y
_atom_site_fract_z
_atom_site_occupancy
Al1 Al 0.000 0.000 0.000 1
Al2 Al 0.000 0.000 0.157 1
Al3 Al 0.000 0.000 0.319 1
Al4 Al 0.000 0.000 0.482 1
Al5 Al 0.500 0.500 0.906 1
Rh1 Rh 0.000 0.000 0.655 1
Rh2 Rh 0.000 0.000 0.843 1
Rh3 Rh 0.500 0.500 0.075 1
Rh4 Rh 0.500 0.500 0.237 1
Rh5 Rh 0.500 0.500 0.397 1
Rh6 Rh 0.500 0.500 0.556 1
Rh7 Rh 0.500 0.500 0.741 1
```

Peak list (8 most intense, 2θ = 15–90°, in order of rising 2θ)
Position (°2θ)	I/Imax
29.93	11
30.31	14
35.61	11
41.76	100
42.84	54
62.19	17
75.50	11
77.74	31

[10]
Starting from a cell relaxed with GGA-PBE, the X-ray powder pattern of Al3Rh was simulated for Cu Kα.

Crystal structure
```
data_Al3Rh
_chemical_formula_sum 'Al3 Rh1'
_symmetry_space_group_name_H-M 'P 1'
_symmetry_Int_Tables_number 1
_symmetry_space_group_name_Hall 'P 1'
_cell_length_a 2.916
_cell_length_b 4.358
_cell_length_c 4.617
_cell_angle_alpha 90.00
_cell_angle_beta 90.00
_cell_angle_gamma 90.00
loop_
_atom_site_label
_atom_site_type_symbol
_atom_site_fract_x
_atom_site_fract_y
_atom_site_fract_z
_atom_site_occupancy
Al1 Al 0.000 0.000 0.000 1
Al2 Al 0.000 0.500 0.344 1
Al3 Al 0.500 0.000 0.506 1
Rh1 Rh 0.500 0.500 0.831 1
```

Peak list (8 most intense, 2θ = 15–90°, in order of rising 2θ)
Position (°2θ)	I/Imax
19.22	44
20.38	37
28.16	33
36.44	37
41.44	33
42.11	100
44.41	44
56.35	21